Structure and calculated powder diffractogram of Ho5Sb2Ru (DFT lattice parameters and positions (GGA-PBE); λ = 1.5418 Å (Cu Kα)).
Neutral-atom scattering factors, no anomalous dispersion.

Most intense lines, 10 to 80 degrees two-theta, in order of rising 2θ:
2θ 29.6, I = 24; 2θ 31.1, I = 83; 2θ 33.4, I = 84; 2θ 33.9, I = 100; 2θ 34.1, I = 30; 2θ 38.4, I = 32; 2θ 46.9, I = 25; 2θ 57.2, I = 22

Structural model:
Cell: 5.3826 5.3826 16.0804 Å, 90.00 90.00 115.47°
Element x y z (fractional)
1 Ho 0.0578 0.9422 0.5953
2 Ho 0.0578 0.9422 0.9047
3 Ho 0.2546 0.7454 0.2500
4 Ho 0.3928 0.6072 0.6425
5 Ho 0.3928 0.6072 0.8575
6 Ho 0.6072 0.3928 0.1425
7 Ho 0.6072 0.3928 0.3575
8 Ho 0.7454 0.2546 0.7500
9 Ho 0.9422 0.0578 0.0953
10 Ho 0.9422 0.0578 0.4047
11 Sb 0.2881 0.7119 0.0569
12 Sb 0.2881 0.7119 0.4431
13 Sb 0.7119 0.2881 0.5569
14 Sb 0.7119 0.2881 0.9431
15 Ru 0.1071 0.8929 0.7500
16 Ru 0.8929 0.1071 0.2500

=====

Structure and calculated powder diffractogram of Na2Al6Ag9 (DFT lattice parameters and positions (GGA-PBE); λ = 1.5418 Å (Cu Kα)).
Neutral-atom scattering factors, no anomalous dispersion.

Most intense lines, 10 to 80 degrees two-theta, in order of rising 2θ:
2θ 18.1, I = 58; 2θ 20.6, I = 65; 2θ 27.6, I = 28; 2θ 36.8, I = 67; 2θ 38.1, I = 38; 2θ 41.8, I = 24; 2θ 42.5, I = 100; 2θ 56.9, I = 35

Structural model:
Cell: 5.6458 5.6458 12.9544 Å, 90.00 90.00 120.00°
Element x y z (fractional)
1 Na 0.0000 0.0000 0.1762
2 Na 0.0000 0.0000 0.8238
3 Al 0.3333 0.6667 0.1670
4 Al 0.3333 0.6667 0.5000
5 Al 0.3333 0.6667 0.8330
6 Al 0.6667 0.3333 0.1670
7 Al 0.6667 0.3333 0.5000
8 Al 0.6667 0.3333 0.8330
9 Ag 0.0000 0.5000 0.0000
10 Ag 0.0000 0.5000 0.3338
11 Ag 0.0000 0.5000 0.6662
12 Ag 0.5000 0.0000 0.0000
13 Ag 0.5000 0.0000 0.3338
14 Ag 0.5000 0.0000 0.6662
15 Ag 0.5000 0.5000 0.0000
16 Ag 0.5000 0.5000 0.3338
17 Ag 0.5000 0.5000 0.6662

=====

Structure and calculated powder diffractogram of TePAu2 (DFT lattice parameters and positions (GGA-PBE); λ = 1.5418 Å (Cu Kα)).
Neutral-atom scattering factors, no anomalous dispersion.

Most intense lines, 10 to 80 degrees two-theta, in order of rising 2θ:
2θ 29.2, I = 100; 2θ 29.9, I = 38; 2θ 36.8, I = 19; 2θ 39.4, I = 75; 2θ 42.8, I = 33; 2θ 46.3, I = 19; 2θ 64.9, I = 24; 2θ 68.8, I = 18

Structural model:
Cell: 7.7333 7.7333 7.7333 Å, 157.25 150.64 37.46°
Element x y z (fractional)
1 Te 0.0000 0.0000 0.0000
2 P 0.2264 0.7264 0.5000
3 Au 0.3610 0.3610 0.0000
4 Au 0.6554 0.1554 0.5000

=====

Structure and calculated powder diffractogram of Pm3SmTl3 (DFT lattice parameters and positions (GGA-PBE); λ = 1.5418 Å (Cu Kα)).
Neutral-atom scattering factors, no anomalous dispersion.

Most intense lines, 10 to 80 degrees two-theta, in order of rising 2θ:
2θ 11.5, I = 11; 2θ 32.8, I = 26; 2θ 33.0, I = 26; 2θ 33.5, I = 100; 2θ 47.2, I = 19; 2θ 59.0, I = 19; 2θ 59.3, I = 19; 2θ 70.4, I = 12

Structural model:
Cell: 7.6979 7.6979 7.4455 Å, 90.00 90.00 90.36°
Element x y z (fractional)
1 Pm 0.2340 0.2340 0.5000
2 Pm 0.2372 0.7628 0.0000
3 Pm 0.2436 0.2436 0.0000
4 Pm 0.7564 0.7564 0.0000
5 Pm 0.7628 0.2372 0.0000
6 Pm 0.7660 0.7660 0.5000
7 Sm 0.2460 0.7540 0.5000
8 Sm 0.7540 0.2460 0.5000
9 Tl 0.0000 0.5000 0.2513
10 Tl 0.0000 0.5000 0.7487
11 Tl 0.5000 0.0000 0.2513
12 Tl 0.5000 0.0000 0.7487
13 Tl 0.5000 0.5000 0.2512
14 Tl 0.5000 0.5000 0.7488

=====

Structure and calculated powder diffractogram of Li2YHg (DFT lattice parameters and positions (GGA-PBE); λ = 1.5418 Å (Cu Kα)).
Neutral-atom scattering factors, no anomalous dispersion.

Most intense lines, 10 to 80 degrees two-theta, in order of rising 2θ:
2θ 20.5, I = 63; 2θ 23.1, I = 100; 2θ 31.1, I = 35; 2θ 36.7, I = 76; 2θ 38.1, I = 24; 2θ 39.2, I = 58; 2θ 44.1, I = 28; 2θ 59.6, I = 23

Structural model:
Cell: 4.7251 5.7452 6.6008 Å, 90.00 90.00 90.00°
Element x y z (fractional)
1 Li 0.2500 0.0076 0.1078
2 Li 0.2500 0.4924 0.1078
3 Li 0.7500 0.5076 0.8922
4 Li 0.7500 0.9924 0.8922
5 Y 0.2500 0.2500 0.5703
6 Y 0.7500 0.7500 0.4297
7 Hg 0.2500 0.7500 0.7433
8 Hg 0.7500 0.2500 0.2567

=====

Structure and calculated powder diffractogram of Pm3Ho4Sc4 (DFT lattice parameters and positions (GGA-PBE); λ = 1.5418 Å (Cu Kα)).
Neutral-atom scattering factors, no anomalous dispersion.

Most intense lines, 10 to 80 degrees two-theta, in order of rising 2θ:
2θ 25.0, I = 29; 2θ 29.3, I = 16; 2θ 31.6, I = 16; 2θ 31.8, I = 29; 2θ 32.6, I = 38; 2θ 33.1, I = 100; 2θ 35.1, I = 19; 2θ 58.4, I = 22

Structural model:
Cell: 10.2254 6.4943 6.4943 Å, 50.08 90.00 90.00°
Element x y z (fractional)
1 Pm 0.0000 0.0000 0.0000
2 Pm 0.3058 0.1396 0.1396
3 Pm 0.6942 0.1396 0.1396
4 Ho 0.0000 0.2999 0.2999
5 Ho 0.2803 0.8371 0.8371
6 Ho 0.5000 0.3732 0.3732
7 Ho 0.7197 0.8371 0.8371
8 Sc 0.0000 0.6889 0.6889
9 Sc 0.2153 0.5038 0.5038
10 Sc 0.5000 0.6363 0.6363
11 Sc 0.7847 0.5038 0.5038

=====

Structure and calculated powder diffractogram of Sm4NiS7 (DFT lattice parameters and positions (GGA-PBE); λ = 1.5418 Å (Cu Kα)).
Neutral-atom scattering factors, no anomalous dispersion.

Most intense lines, 10 to 80 degrees two-theta, in order of rising 2θ:
2θ 24.9, I = 100; 2θ 26.3, I = 17; 2θ 34.0, I = 35; 2θ 34.7, I = 17; 2θ 37.1, I = 39; 2θ 45.2, I = 17; 2θ 45.5, I = 29; 2θ 46.0, I = 18

Structural model:
Cell: 9.6917 9.6917 6.7897 Å, 90.00 90.00 120.00°
Element x y z (fractional)
1 Sm 0.1618 0.7879 0.0000
2 Sm 0.2121 0.3739 0.0000
3 Sm 0.3333 0.6667 0.5468
4 Sm 0.3739 0.1618 0.5000
5 Sm 0.6261 0.8382 0.0000
6 Sm 0.6667 0.3333 0.0468
7 Sm 0.7879 0.6261 0.5000
8 Sm 0.8382 0.2121 0.5000
9 Ni 0.0000 0.0000 0.1641
10 Ni 0.0000 0.0000 0.6641
11 S 0.0700 0.5147 0.7582
12 S 0.1009 0.8763 0.3911
13 S 0.1237 0.2246 0.3911
14 S 0.2246 0.1009 0.8911
15 S 0.3333 0.6667 0.1614
16 S 0.4447 0.9300 0.7582
17 S 0.4853 0.5553 0.7582
18 S 0.5147 0.4447 0.2582
19 S 0.5553 0.0700 0.2582
20 S 0.6667 0.3333 0.6614
21 S 0.7754 0.8991 0.3911
22 S 0.8763 0.7754 0.8911
23 S 0.8991 0.1237 0.8911
24 S 0.9300 0.4853 0.2582

=====

Structure and calculated powder diffractogram of Ba6Na2Mg (DFT lattice parameters and positions (GGA-PBE); λ = 1.5418 Å (Cu Kα)).
Neutral-atom scattering factors, no anomalous dispersion.

Most intense lines, 10 to 80 degrees two-theta, in order of rising 2θ:
2θ 21.4, I = 45; 2θ 25.9, I = 100; 2θ 26.1, I = 26; 2θ 26.9, I = 29; 2θ 28.0, I = 32; 2θ 30.9, I = 21; 2θ 38.7, I = 19; 2θ 49.0, I = 19

Structural model:
Cell: 12.2837 12.2930 6.3726 Å, 90.00 90.00 90.00°
Element x y z (fractional)
1 Ba 0.0282 0.1900 0.0000
2 Ba 0.1185 0.6174 0.5000
3 Ba 0.1900 0.9706 0.5000
4 Ba 0.3100 0.4706 0.0000
5 Ba 0.3815 0.1174 0.0000
6 Ba 0.4718 0.6900 0.5000
7 Ba 0.5282 0.3100 0.5000
8 Ba 0.6185 0.8826 0.0000
9 Ba 0.6900 0.5294 0.0000
10 Ba 0.8100 0.0294 0.5000
11 Ba 0.8815 0.3826 0.5000
12 Ba 0.9718 0.8100 0.0000
13 Na 0.2018 0.2966 0.5000
14 Na 0.2982 0.7966 0.0000
15 Na 0.7018 0.2034 0.0000
16 Na 0.7982 0.7034 0.5000
17 Mg 0.0000 0.5000 0.0000
18 Mg 0.5000 0.0000 0.5000

=====

Question: Number 8 is which compound?
Answer: Ba6Na2Mg

=====

Please write out number 7 again, unchanged.
Structure and calculated powder diffractogram of Sm4NiS7 (DFT lattice parameters and positions (GGA-PBE); λ = 1.5418 Å (Cu Kα)).
Neutral-atom scattering factors, no anomalous dispersion.

Most intense lines, 10 to 80 degrees two-theta, in order of rising 2θ:
2θ 24.9, I = 100; 2θ 26.3, I = 17; 2θ 34.0, I = 35; 2θ 34.7, I = 17; 2θ 37.1, I = 39; 2θ 45.2, I = 17; 2θ 45.5, I = 29; 2θ 46.0, I = 18

Structural model:
Cell: 9.6917 9.6917 6.7897 Å, 90.00 90.00 120.00°
Element x y z (fractional)
1 Sm 0.1618 0.7879 0.0000
2 Sm 0.2121 0.3739 0.0000
3 Sm 0.3333 0.6667 0.5468
4 Sm 0.3739 0.1618 0.5000
5 Sm 0.6261 0.8382 0.0000
6 Sm 0.6667 0.3333 0.0468
7 Sm 0.7879 0.6261 0.5000
8 Sm 0.8382 0.2121 0.5000
9 Ni 0.0000 0.0000 0.1641
10 Ni 0.0000 0.0000 0.6641
11 S 0.0700 0.5147 0.7582
12 S 0.1009 0.8763 0.3911
13 S 0.1237 0.2246 0.3911
14 S 0.2246 0.1009 0.8911
15 S 0.3333 0.6667 0.1614
16 S 0.4447 0.9300 0.7582
17 S 0.4853 0.5553 0.7582
18 S 0.5147 0.4447 0.2582
19 S 0.5553 0.0700 0.2582
20 S 0.6667 0.3333 0.6614
21 S 0.7754 0.8991 0.3911
22 S 0.8763 0.7754 0.8911
23 S 0.8991 0.1237 0.8911
24 S 0.9300 0.4853 0.2582